Calculated PXRD pattern
Compound: ZnCoBiO5
Radiation: Cu Kα (weighted mean of Kα1 and Kα2)
Structure: a PBE+U-relaxed structure
Kinematic intensities with the Lorentz-polarization factor, no thermal factor.

Cell and atoms:
```
ZnCoBiO5
1.0
5.331 0.000 0.000
0.000 10.595 0.000
-2.880 0.000 7.863
Zn Co Bi O
4 4 4 20
Direct
0.039 0.091 0.175
0.039 0.409 0.675
0.961 0.591 0.325
0.961 0.909 0.825
0.348 0.620 0.046
0.348 0.880 0.546
0.652 0.120 0.454
0.652 0.380 0.954
0.472 0.105 0.843
0.472 0.395 0.343
0.528 0.605 0.657
0.528 0.895 0.157
0.195 0.535 0.184
0.195 0.965 0.684
0.196 0.718 0.495
0.196 0.782 0.995
0.255 0.043 0.009
0.255 0.457 0.509
0.329 0.204 0.322
0.329 0.296 0.822
0.333 0.557 0.837
0.333 0.943 0.337
0.667 0.057 0.663
0.667 0.443 0.163
0.671 0.704 0.178
0.671 0.796 0.678
0.745 0.543 0.491
0.745 0.957 0.991
0.804 0.218 0.005
0.804 0.282 0.505
0.805 0.035 0.316
0.805 0.465 0.816
```

Most intense lines, 10° ≤ 2θ ≤ 90°, most intense first:
2θ = 29.5°, intensity 100.0
2θ = 25.0°, intensity 85.7
2θ = 34.7°, intensity 66.2
2θ = 17.7°, intensity 58.8
2θ = 14.0°, intensity 36.3
2θ = 24.3°, intensity 31.2
2θ = 33.8°, intensity 31.1
2θ = 35.3°, intensity 28.0


Calculated PXRD pattern
Compound: Li7Mn5O12
Radiation: Cu Kα (weighted mean of Kα1 and Kα2)
Structure: a PBE+U-relaxed structure
Kinematic intensities with the Lorentz-polarization factor, no thermal factor.

Cell and atoms:
```
Li7Mn5O12
1.0
2.986 0.000 0.000
-0.137 8.209 0.000
-0.538 -4.099 9.025
Li Mn O
7 5 12
Direct
0.000 0.000 0.000
0.000 0.500 0.000
0.013 0.159 0.321
0.493 0.852 0.166
0.500 0.500 0.500
0.507 0.148 0.834
0.987 0.841 0.679
0.010 0.665 0.327
0.492 0.680 0.839
0.500 0.000 0.500
0.508 0.320 0.161
0.990 0.335 0.673
0.018 0.740 0.978
0.030 0.414 0.314
0.038 0.911 0.336
0.459 0.427 0.830
0.470 0.753 0.490
0.495 0.103 0.170
0.505 0.897 0.830
0.530 0.247 0.510
0.541 0.573 0.170
0.962 0.089 0.664
0.970 0.586 0.686
0.982 0.260 0.022
```

Most intense lines, 10° ≤ 2θ ≤ 90°, most intense first:
2θ = 18.3°, intensity 100.0
2θ = 44.2°, intensity 53.6
2θ = 41.2°, intensity 33.2
2θ = 62.4°, intensity 15.8
2θ = 34.3°, intensity 15.8
2θ = 11.8°, intensity 13.9
2θ = 36.1°, intensity 12.5
2θ = 36.4°, intensity 10.8


Calculated PXRD pattern
Compound: NdFe6BiB8O24
Radiation: Cu Kα (weighted mean of Kα1 and Kα2)
Structure: a PBE+U-relaxed structure
Kinematic intensities with the Lorentz-polarization factor, no thermal factor.

Cell and atoms:
```
NdFe6BiB8O24
1.0
4.807 2.775 5.063
-4.807 2.775 5.063
0.000 -5.551 5.063
Nd Fe Bi B O
1 6 1 8 24
Direct
0.000 0.000 0.000
0.000 0.555 0.445
0.052 0.948 0.500
0.445 0.000 0.555
0.500 0.052 0.948
0.555 0.445 0.000
0.948 0.500 0.052
0.500 0.500 0.500
0.195 0.305 0.746
0.254 0.254 0.254
0.254 0.695 0.805
0.305 0.746 0.195
0.695 0.805 0.254
0.746 0.195 0.305
0.746 0.746 0.746
0.805 0.254 0.695
0.068 0.307 0.904
0.096 0.693 0.932
0.106 0.396 0.255
0.158 0.746 0.338
0.190 0.436 0.593
0.254 0.842 0.662
0.255 0.106 0.396
0.307 0.904 0.068
0.338 0.158 0.746
0.396 0.255 0.106
0.407 0.564 0.810
0.436 0.593 0.190
0.564 0.810 0.407
0.593 0.190 0.436
0.604 0.894 0.745
0.662 0.254 0.842
0.693 0.932 0.096
0.745 0.604 0.894
0.746 0.338 0.158
0.810 0.407 0.564
0.842 0.662 0.254
0.894 0.745 0.604
0.904 0.068 0.307
0.932 0.096 0.693
```

Most intense lines, 10° ≤ 2θ ≤ 90°, most intense first:
2θ = 31.9°, intensity 100.0
2θ = 24.4°, intensity 86.7
2θ = 15.8°, intensity 39.7
2θ = 30.8°, intensity 31.4
2θ = 18.5°, intensity 30.0
2θ = 52.5°, intensity 28.8
2θ = 37.4°, intensity 26.4
2θ = 37.1°, intensity 22.6


Calculated PXRD pattern
Compound: Ba4Mn2Ag2As4O17
Radiation: Cu Kα (weighted mean of Kα1 and Kα2)
Structure: a PBE+U-relaxed structure
Kinematic intensities with the Lorentz-polarization factor, no thermal factor.

Cell and atoms:
```
Ba4Mn2Ag2As4O17
1.0
5.993 0.000 0.000
0.040 8.887 0.000
0.056 4.105 8.710
Ba Mn Ag As O
4 2 2 4 17
Direct
0.000 0.000 0.000
0.003 0.539 0.865
0.475 0.976 0.663
0.484 0.519 0.535
0.235 0.258 0.268
0.731 0.257 0.268
0.489 0.921 0.268
0.985 0.589 0.266
0.489 0.263 0.948
0.515 0.660 0.064
0.982 0.245 0.592
0.995 0.852 0.462
0.036 0.804 0.307
0.217 0.773 0.584
0.225 0.289 0.481
0.244 0.219 0.058
0.253 0.737 0.980
0.478 0.436 0.174
0.482 0.112 0.350
0.486 0.472 0.829
0.489 0.139 0.852
0.538 0.708 0.227
0.728 0.218 0.061
0.743 0.291 0.479
0.758 0.771 0.567
0.980 0.036 0.713
0.980 0.399 0.184
0.984 0.368 0.688
0.988 0.071 0.372
```

Most intense lines, 10° ≤ 2θ ≤ 90°, most intense first:
2θ = 31.0°, intensity 100.0
2θ = 29.8°, intensity 71.0
2θ = 31.9°, intensity 59.4
2θ = 27.4°, intensity 45.6
2θ = 27.2°, intensity 42.0
2θ = 27.9°, intensity 35.0
2θ = 24.9°, intensity 34.7
2θ = 37.4°, intensity 33.5


Question: Which formula does entry 4 have?
Answer: Ba4Mn2Ag2As4O17


Please write out number 3 again, unchanged.
Calculated PXRD pattern
Compound: NdFe6BiB8O24
Radiation: Cu Kα (weighted mean of Kα1 and Kα2)
Structure: a PBE+U-relaxed structure
Kinematic intensities with the Lorentz-polarization factor, no thermal factor.

Cell and atoms:
```
NdFe6BiB8O24
1.0
4.807 2.775 5.063
-4.807 2.775 5.063
0.000 -5.551 5.063
Nd Fe Bi B O
1 6 1 8 24
Direct
0.000 0.000 0.000
0.000 0.555 0.445
0.052 0.948 0.500
0.445 0.000 0.555
0.500 0.052 0.948
0.555 0.445 0.000
0.948 0.500 0.052
0.500 0.500 0.500
0.195 0.305 0.746
0.254 0.254 0.254
0.254 0.695 0.805
0.305 0.746 0.195
0.695 0.805 0.254
0.746 0.195 0.305
0.746 0.746 0.746
0.805 0.254 0.695
0.068 0.307 0.904
0.096 0.693 0.932
0.106 0.396 0.255
0.158 0.746 0.338
0.190 0.436 0.593
0.254 0.842 0.662
0.255 0.106 0.396
0.307 0.904 0.068
0.338 0.158 0.746
0.396 0.255 0.106
0.407 0.564 0.810
0.436 0.593 0.190
0.564 0.810 0.407
0.593 0.190 0.436
0.604 0.894 0.745
0.662 0.254 0.842
0.693 0.932 0.096
0.745 0.604 0.894
0.746 0.338 0.158
0.810 0.407 0.564
0.842 0.662 0.254
0.894 0.745 0.604
0.904 0.068 0.307
0.932 0.096 0.693
```

Most intense lines, 10° ≤ 2θ ≤ 90°, most intense first:
2θ = 31.9°, intensity 100.0
2θ = 24.4°, intensity 86.7
2θ = 15.8°, intensity 39.7
2θ = 30.8°, intensity 31.4
2θ = 18.5°, intensity 30.0
2θ = 52.5°, intensity 28.8
2θ = 37.4°, intensity 26.4
2θ = 37.1°, intensity 22.6